Entry 1:
Simulated PXRD pattern
Compound: LiPPdS4
Radiation: copper Kα
Structure: a PBE-relaxed structure

Cell and atoms:
abc: 7.032 7.032 12.418
angles: 90.00 90.00 90.00
Space group I4/mcm (No. 140)
One atom of each set of equivalent atoms:
Li (0.000, 0.000, 0.250) (multiplicity 4)
P (0.000, 0.500, 0.250) (multiplicity 4)
Pd (0.000, 0.500, 0.000) (multiplicity 4)
S (0.157, 0.343, 0.142) (multiplicity 16)

Top 10 peaks for 10° ≤ 2θ ≤ 90°, low angle first:
2theta  I/Imax
17.84  100
22.91  18
29.19  13
29.30  16
34.05  11
35.86  17
36.13  14
38.69  31
43.22  12
50.49  29

---

Entry 2:
Simulated PXRD pattern
Compound: LiPPdSe4
Radiation: copper Kα
Structure: a PBE-relaxed structure

Cell and atoms:
abc: 7.296 7.296 13.088
angles: 90.00 90.00 90.00
Space group I4/mcm (No. 140)
One atom of each set of equivalent atoms:
Li (0.000, 0.000, 0.250) (multiplicity 4)
P (0.000, 0.500, 0.250) (multiplicity 4)
Pd (0.000, 0.500, 0.000) (multiplicity 4)
Se (0.164, 0.336, 0.138) (multiplicity 16)

Top 10 peaks for 10° ≤ 2θ ≤ 90°, low angle first:
2theta  I/Imax
17.19  100
28.19  59
34.32  63
34.78  16
36.90  48
48.27  45
53.27  20
56.09  13
56.75  19
57.88  15

---

Entry 3:
Simulated PXRD pattern
Compound: Li2P2Pt3
Radiation: copper Kα
Structure: a PBE-relaxed structure

Cell and atoms:
abc: 4.1848 4.1848 19.8632
angles: 90.00 90.00 120.00
Space group R3m (No. 160, hexagonal axes)
One atom of each set of equivalent atoms:
Li (0.0000, 0.0000, 0.0000) (multiplicity 3)
Li (0.0000, 0.0000, 0.4682) (multiplicity 3)
P (0.0000, 0.0000, 0.2480) (multiplicity 3)
P (0.0000, 0.0000, 0.7387) (multiplicity 3)
Pt (0.0000, 0.0000, 0.1229) (multiplicity 3)
Pt (0.0000, 0.0000, 0.6148) (multiplicity 3)
Pt (0.0000, 0.0000, 0.8681) (multiplicity 3)

Top 10 peaks for 10° ≤ 2θ ≤ 90°, low angle first:
2theta  I/Imax
13.37  42
24.98  21
26.18  23
30.54  100
43.24  65
44.22  58
53.86  21
63.56  20
71.44  20
80.00  21

---

Entry 4:
Simulated PXRD pattern
Compound: LiP5Pt3
Radiation: copper Kα
Structure: a PBE-relaxed structure

Cell and atoms:
abc: 6.2074 6.2074 5.1088
angles: 90.00 90.00 120.00
Space group P6/mmm (No. 191)
One atom of each set of equivalent atoms:
Li (0.0000, 0.0000, 0.0000) (multiplicity 1)
P (0.0000, 0.0000, 0.5000) (multiplicity 1)
P (0.3333, 0.6667, 0.2063) (multiplicity 4)
Pt (0.0000, 0.5000, 0.5000) (multiplicity 3)

Top 10 peaks for 10° ≤ 2θ ≤ 90°, low angle first:
2theta  I/Imax
16.49  49
17.36  96
24.03  18
33.33  56
37.82  100
49.21  54
59.57  19
62.56  20
64.81  17
72.76  15